(1)
Structure and simulated X-ray powder pattern of PmY2O (a structure optimized by DFT (GGA-PBE); λ = 1.5418 Å (Cu Kα)).
No peak broadening, texture or thermal motion is included.

```
PmY2O
1.0
3.4970 0.0000 0.0000
-1.7485 3.0285 0.0000
0.0000 0.0000 28.2918
Pm Y O
3 6 3
direct
0.0000 0.0000 0.0000
0.3333 0.6667 0.6667
0.6667 0.3333 0.3333
0.0000 0.0000 0.1201
0.0000 0.0000 0.8799
0.3333 0.6667 0.5466
0.3333 0.6667 0.7868
0.6667 0.3333 0.2132
0.6667 0.3333 0.4534
0.0000 0.0000 0.5000
0.3333 0.6667 0.1667
0.6667 0.3333 0.8333
```

Main lines, sorted by position (10 to 90 degrees two-theta):
2θ 18.8, intensity 256
2θ 28.4, intensity 453
2θ 29.7, intensity 1000
2θ 30.2, intensity 428
2θ 37.1, intensity 416
2θ 39.2, intensity 786
2θ 43.8, intensity 236
2θ 52.3, intensity 343
2θ 60.6, intensity 509
2θ 67.3, intensity 152


(2)
Structure and simulated X-ray powder pattern of Li5La4Tl6 (a structure optimized by DFT (GGA-PBE); λ = 1.5418 Å (Cu Kα)).
No peak broadening, texture or thermal motion is included.

```
Li5La4Tl6
1.0
2.4722 -10.4649 0.0000
2.4722 10.4649 0.0000
0.0000 0.0000 15.2743
Li La Tl
10 8 12
direct
0.0190 0.9810 0.7500
0.1137 0.8863 0.2500
0.1666 0.8334 0.5463
0.1666 0.8334 0.9537
0.2625 0.7375 0.2500
0.7375 0.2625 0.7500
0.8334 0.1666 0.0463
0.8334 0.1666 0.4537
0.8863 0.1137 0.7500
0.9810 0.0190 0.2500
0.3278 0.6722 0.6170
0.3278 0.6722 0.8830
0.4347 0.5653 0.1013
0.4347 0.5653 0.3987
0.5653 0.4347 0.6013
0.5653 0.4347 0.8987
0.6722 0.3278 0.1170
0.6722 0.3278 0.3830
0.0572 0.9428 0.0670
0.0572 0.9428 0.4330
0.1560 0.8440 0.7500
0.2747 0.7253 0.0800
0.2747 0.7253 0.4200
0.4533 0.5467 0.7500
0.5467 0.4533 0.2500
0.7253 0.2747 0.5800
0.7253 0.2747 0.9200
0.8440 0.1560 0.2500
0.9428 0.0572 0.5670
0.9428 0.0572 0.9330
```

Main lines, sorted by position (10 to 90 degrees two-theta):
2θ 25.0, intensity 513
2θ 25.5, intensity 737
2θ 28.5, intensity 440
2θ 32.3, intensity 355
2θ 33.1, intensity 1000
2θ 34.0, intensity 374
2θ 35.3, intensity 384
2θ 36.3, intensity 552
2θ 50.6, intensity 378
2θ 51.5, intensity 363


(3)
Structure and simulated X-ray powder pattern of LiSc2ReC (a structure optimized by DFT (GGA-PBE); λ = 1.5418 Å (Cu Kα)).
No peak broadening, texture or thermal motion is included.

```
LiSc2ReC
1.0
4.6145 0.0000 0.0000
0.0000 4.6145 0.0000
0.0000 0.0000 3.9639
Li Sc Re C
1 2 1 1
direct
0.0000 0.0000 0.0000
0.0000 0.5000 0.5000
0.5000 0.0000 0.5000
0.5000 0.5000 0.0000
0.5000 0.5000 0.5000
```

Main lines, sorted by position (10 to 90 degrees two-theta):
2θ 19.2, intensity 1000
2θ 29.7, intensity 531
2θ 35.6, intensity 847
2θ 39.0, intensity 381
2θ 43.9, intensity 236
2θ 49.8, intensity 267
2θ 50.1, intensity 160
2θ 61.7, intensity 190
2θ 65.3, intensity 144
2θ 68.5, intensity 246


(4)
Structure and simulated X-ray powder pattern of HoAlI (a structure optimized by DFT (GGA-PBE); λ = 1.5418 Å (Cu Kα)).
No peak broadening, texture or thermal motion is included.

```
HoAlI
1.0
7.3956 0.0000 0.0000
0.0000 4.2703 0.0000
-2.5146 0.0000 12.2604
Ho Al I
4 4 4
direct
0.0563 0.0000 0.1654
0.4437 0.5000 0.8346
0.5563 0.5000 0.1654
0.9437 0.0000 0.8346
0.1610 0.5000 0.9833
0.3390 0.0000 0.0167
0.6610 0.0000 0.9833
0.8390 0.5000 0.0167
0.2229 0.0000 0.6753
0.2771 0.5000 0.3247
0.7229 0.5000 0.6753
0.7771 0.0000 0.3247
```

Main lines, sorted by position (10 to 90 degrees two-theta):
2θ 14.4, intensity 444
2θ 24.2, intensity 640
2θ 26.0, intensity 286
2θ 29.5, intensity 1000
2θ 31.0, intensity 193
2θ 34.4, intensity 210
2θ 36.2, intensity 398
2θ 36.3, intensity 192
2θ 42.3, intensity 599
2θ 44.3, intensity 157


(5)
Structure and simulated X-ray powder pattern of RbTlFe2Cl8 (a structure optimized by DFT (GGA-PBE); λ = 1.5418 Å (Cu Kα)).
No peak broadening, texture or thermal motion is included.

```
RbTlFe2Cl8
1.0
5.4668 -3.7711 0.0000
5.4668 3.7711 0.0000
-0.3810 0.0000 10.6585
Rb Tl Fe Cl
1 1 2 8
direct
0.0000 0.0000 0.0000
0.0000 0.0000 0.5000
0.4062 0.4062 0.7446
0.5938 0.5938 0.2554
0.2355 0.7156 0.2560
0.2844 0.7645 0.7440
0.2925 0.2925 0.5704
0.3042 0.3042 0.9189
0.6958 0.6958 0.0811
0.7075 0.7075 0.4296
0.7156 0.2355 0.2560
0.7645 0.2844 0.7440
```

Main lines, sorted by position (10 to 90 degrees two-theta):
2θ 16.2, intensity 902
2θ 16.4, intensity 854
2θ 21.8, intensity 1000
2θ 22.2, intensity 951
2θ 23.6, intensity 501
2θ 27.2, intensity 743
2θ 29.0, intensity 570
2θ 31.6, intensity 328
2θ 33.6, intensity 350
2θ 37.0, intensity 320


(6)
Structure and simulated X-ray powder pattern of ErPu3Rh6 (a structure optimized by DFT (GGA-PBE); λ = 1.5418 Å (Cu Kα)).
No peak broadening, texture or thermal motion is included.

```
ErPu3Rh6
1.0
8.6764 0.0000 0.0000
0.0000 4.4271 0.0000
-1.7288 0.0000 9.6862
Er Pu Rh
2 6 12
direct
0.0633 0.2500 0.3826
0.9367 0.7500 0.6174
0.2335 0.2500 0.0407
0.3348 0.7500 0.8125
0.4508 0.2500 0.6121
0.5492 0.7500 0.3879
0.6652 0.2500 0.1875
0.7665 0.7500 0.9593
0.0600 0.7500 0.9094
0.1433 0.2500 0.7087
0.1605 0.7500 0.2033
0.2533 0.7500 0.5096
0.3688 0.2500 0.3190
0.4540 0.7500 0.0979
0.5460 0.2500 0.9021
0.6312 0.7500 0.6810
0.7467 0.2500 0.4904
0.8395 0.2500 0.7967
0.8567 0.7500 0.2913
0.9400 0.2500 0.0906
```

Main lines, sorted by position (10 to 90 degrees two-theta):
2θ 24.2, intensity 142
2θ 28.1, intensity 148
2θ 37.3, intensity 1000
2θ 37.4, intensity 976
2θ 39.4, intensity 347
2θ 40.8, intensity 431
2θ 49.6, intensity 229
2θ 58.0, intensity 244
2θ 66.1, intensity 195
2θ 72.0, intensity 294


(7)
Structure and simulated X-ray powder pattern of Nb2GaPd6 (a structure optimized by DFT (GGA-PBE); λ = 1.5418 Å (Cu Kα)).
No peak broadening, texture or thermal motion is included.

```
Nb2GaPd6
1.0
3.7666 -6.8315 0.0000
3.7666 6.8315 0.0000
0.0000 0.0000 2.8211
Nb Ga Pd
2 1 6
direct
0.1807 0.8193 0.0000
0.8193 0.1807 0.0000
0.5000 0.5000 0.5000
0.1587 0.4796 0.5000
0.1832 0.1832 0.0000
0.4796 0.1587 0.5000
0.5204 0.8413 0.5000
0.8168 0.8168 0.0000
0.8413 0.5204 0.5000
```

Main lines, sorted by position (10 to 90 degrees two-theta):
2θ 34.6, intensity 484
2θ 39.6, intensity 552
2θ 41.0, intensity 1000
2θ 41.5, intensity 184
2θ 42.1, intensity 511
2θ 47.9, intensity 234
2θ 48.3, intensity 303
2θ 72.8, intensity 148
2θ 81.0, intensity 264
2θ 89.1, intensity 152


(8)
Structure and simulated X-ray powder pattern of H4AuNCl3 (a structure optimized by DFT (GGA-PBE); λ = 1.5418 Å (Cu Kα)).
No peak broadening, texture or thermal motion is included.

```
H4AuNCl3
1.0
5.4221 0.0000 0.0000
1.6204 6.8670 0.0000
0.3915 1.4330 9.4172
H Au N Cl
8 2 2 6
direct
0.0485 0.0867 0.1869
0.2117 0.0665 0.3389
0.2360 0.8691 0.2536
0.3684 0.0595 0.1817
0.6316 0.9405 0.8183
0.7640 0.1309 0.7464
0.7883 0.9335 0.6611
0.9515 0.9133 0.8131
0.0000 0.5000 0.5000
0.5000 0.5000 0.0000
0.2169 0.0203 0.2405
0.7831 0.9797 0.7595
0.2190 0.1730 0.5510
0.2206 0.5315 0.2813
0.3168 0.8292 0.9315
0.6832 0.1708 0.0685
0.7794 0.4685 0.7187
0.7810 0.8270 0.4490
```

Main lines, sorted by position (10 to 90 degrees two-theta):
2θ 13.0, intensity 722
2θ 18.8, intensity 409
2θ 19.3, intensity 1000
2θ 20.1, intensity 749
2θ 21.3, intensity 339
2θ 22.0, intensity 325
2θ 26.3, intensity 210
2θ 33.3, intensity 252
2θ 36.9, intensity 187
2θ 39.8, intensity 257


(9)
Structure and simulated X-ray powder pattern of Rb2ScBiCl6 (a structure optimized by DFT (GGA-PBE); λ = 1.5418 Å (Cu Kα)).
No peak broadening, texture or thermal motion is included.

```
Rb2ScBiCl6
1.0
-3.7256 3.7256 6.4012
3.7256 -3.7256 6.4012
3.7256 3.7256 -6.4012
Rb Sc Bi Cl
2 1 1 6
direct
0.2500 0.7500 0.5000
0.7500 0.2500 0.5000
0.0000 0.0000 0.0000
0.5000 0.5000 0.0000
0.1949 0.1949 0.0000
0.2373 0.2373 0.4747
0.2373 0.7627 0.0000
0.7627 0.2373 0.0000
0.7627 0.7627 0.5253
0.8051 0.8051 0.0000
```

Main lines, sorted by position (10 to 90 degrees two-theta):
2θ 13.8, intensity 433
2θ 21.8, intensity 1000
2θ 23.9, intensity 369
2θ 24.0, intensity 263
2θ 27.7, intensity 244
2θ 27.9, intensity 352
2θ 34.0, intensity 489
2θ 34.1, intensity 264
2θ 40.8, intensity 399
2θ 44.6, intensity 395


(10)
Structure and simulated X-ray powder pattern of Pm3Ho12Er (a structure optimized by DFT (GGA-PBE); λ = 1.5418 Å (Cu Kα)).
No peak broadening, texture or thermal motion is included.

```
Pm3Ho12Er
1.0
5.0138 0.0000 0.0000
0.0000 5.0138 0.0000
0.0000 0.0000 20.0623
Pm Ho Er
3 12 1
direct
0.0000 0.0000 0.0000
0.0000 0.0000 0.2508
0.0000 0.0000 0.7492
0.0000 0.5000 0.1256
0.0000 0.5000 0.3767
0.0000 0.5000 0.6233
0.0000 0.5000 0.8744
0.5000 0.0000 0.1256
0.5000 0.0000 0.3767
0.5000 0.0000 0.6233
0.5000 0.0000 0.8744
0.5000 0.5000 0.0000
0.5000 0.5000 0.2515
0.5000 0.5000 0.5000
0.5000 0.5000 0.7485
0.0000 0.0000 0.5000
```

Main lines, sorted by position (10 to 90 degrees two-theta):
2θ 30.9, intensity 1000
2θ 35.8, intensity 506
2θ 51.6, intensity 360
2θ 61.3, intensity 427
2θ 64.4, intensity 123
2θ 75.9, intensity 57
2θ 84.2, intensity 178
2θ 86.9, intensity 166


(11)
Structure and simulated X-ray powder pattern of CaAcDy (a structure optimized by DFT (GGA-PBE); λ = 1.5418 Å (Cu Kα)).
No peak broadening, texture or thermal motion is included.

```
CaAcDy
1.0
3.9370 0.0000 0.0000
0.0000 4.8904 0.0000
0.0000 0.0000 12.2061
Ca Ac Dy
2 2 2
direct
0.2500 0.2500 0.0850
0.7500 0.7500 0.9150
0.2500 0.2500 0.7313
0.7500 0.7500 0.2687
0.2500 0.2500 0.4336
0.7500 0.7500 0.5664
```

Main lines, sorted by position (10 to 90 degrees two-theta):
2θ 19.6, intensity 246
2θ 28.5, intensity 948
2θ 29.1, intensity 1000
2θ 30.0, intensity 189
2θ 31.6, intensity 727
2θ 34.6, intensity 177
2θ 36.8, intensity 274
2θ 49.3, intensity 425
2θ 54.1, intensity 228
2θ 55.1, intensity 304


(12)
Structure and simulated X-ray powder pattern of Sr2PbN2 (a structure optimized by DFT (GGA-PBE); λ = 1.5418 Å (Cu Kα)).
No peak broadening, texture or thermal motion is included.

```
Sr2PbN2
1.0
2.7668 -5.9782 0.0000
2.7668 5.9782 0.0000
0.0000 0.0000 12.9802
Sr Pb N
8 4 8
direct
0.0394 0.9606 0.8598
0.1417 0.8583 0.4568
0.3583 0.6417 0.9568
0.4606 0.5394 0.3598
0.5394 0.4606 0.6402
0.6417 0.3583 0.0432
0.8583 0.1417 0.5432
0.9606 0.0394 0.1402
0.2467 0.7533 0.6869
0.2533 0.7467 0.1869
0.7467 0.2533 0.8131
0.7533 0.2467 0.3131
0.0655 0.9345 0.6399
0.1528 0.8472 0.0442
0.3472 0.6528 0.5442
0.4345 0.5655 0.1399
0.5655 0.4345 0.8601
0.6528 0.3472 0.4558
0.8472 0.1528 0.9558
0.9345 0.0655 0.3601
```

Main lines, sorted by position (10 to 90 degrees two-theta):
2θ 14.8, intensity 495
2θ 20.2, intensity 292
2θ 22.4, intensity 420
2θ 28.4, intensity 264
2θ 30.9, intensity 833
2θ 32.4, intensity 704
2θ 32.9, intensity 1000
2θ 33.0, intensity 423
2θ 39.3, intensity 360
2θ 46.9, intensity 316